LaPr2Zn2Cu2: theoretical powder XRD pattern (CuKα), based on a PBE-relaxed structure.
Neutral-atom scattering factors, no anomalous dispersion.

Structural model:
a b c (Å): 9.9718 9.9718 9.9718
angles (deg): 26.08 26.08 26.08
Atoms (fractional coordinates):
La (0.0000, 0.0000, 0.0000)
Pr (0.1223, 0.1223, 0.1223)
Pr (0.8777, 0.8777, 0.8777)
Zn (0.2652, 0.2652, 0.2652)
Zn (0.7348, 0.7348, 0.7348)
Cu (0.3991, 0.3991, 0.3991)
Cu (0.6009, 0.6009, 0.6009)

Top 10 peaks for 2θ = 5–70°, most intense first:
2θ/deg  d [Å]  I (rel.)
33.84  2.649  100
40.07  2.250  95
31.58  2.833  71
23.03  3.862  38
63.60  1.463  30
53.43  1.715  27
68.83  1.364  25
51.89  1.762  17
67.52  1.387  15
47.20  1.925  12